[1]
Structure and simulated XRD peak list of In (a GGA-PBE-relaxed structure; Cu Kα (λ = 1.5418 Å)).

Main lines, in order of rising 2θ (10 to 90 degrees two-theta):
(1 0 1), 32.41 deg, I = 100; (0 0 2), 35.80 deg, I = 19; (1 1 0), 38.46 deg, I = 31; (1 1 2), 53.55 deg, I = 23; (1 0 3), 62.20 deg, I = 15; (2 1 1), 65.78 deg, I = 24; (2 0 2), 67.85 deg, I = 11; (2 1 3), 88.14 deg, I = 11

Structural model:
```
data_In
_chemical_formula_sum 'In2'
_space_group_name_H-M_alt 'I 4/m m m'
_space_group_IT_number 139
_space_group_name_Hall '-I 4 2'
_cell_length_a 3.3098
_cell_length_b 3.3098
_cell_length_c 5.0167
_cell_angle_alpha 90.00
_cell_angle_beta 90.00
_cell_angle_gamma 90.00
loop_
_atom_site_label
_atom_site_fract_x
_atom_site_fract_y
_atom_site_fract_z
In1 0.0000 0.0000 0.0000
```


[2]
Structure and simulated XRD peak list of CaAl2Sb2 (a GGA-PBE-relaxed structure; Cu Kα (λ = 1.5418 Å)).

Main lines, in order of rising 2θ (10 to 90 degrees two-theta):
(1 0 0), 20.36 deg, I = 32; (0 1 1), 25.22 deg, I = 100; (0 0 2), 29.68 deg, I = 23; (1 1 0), 35.66 deg, I = 79; (1 0 2), 36.26 deg, I = 46; (2 0 1), 44.17 deg, I = 22; (1 1 2), 47.05 deg, I = 39; (1 2 1), 58.01 deg, I = 19

Structural model:
```
data_CaAl2Sb2
_chemical_formula_sum 'Ca1 Al2 Sb2'
_space_group_name_H-M_alt 'P -3 m 1'
_space_group_IT_number 164
_space_group_name_Hall '-P 3 2"'
_cell_length_a 5.0361
_cell_length_b 5.0361
_cell_length_c 6.0195
_cell_angle_alpha 90.00
_cell_angle_beta 90.00
_cell_angle_gamma 120.00
loop_
_atom_site_label
_atom_site_fract_x
_atom_site_fract_y
_atom_site_fract_z
Ca1 0.0000 0.0000 0.0000
Al1 0.3333 0.6667 0.7192
Sb1 0.3333 0.6667 0.2581
```


[3]
Structure and simulated XRD peak list of Ba6Gd2Al4O15 (a GGA-PBE-relaxed structure; Cu Kα (λ = 1.5418 Å)).

Main lines, in order of rising 2θ (10 to 90 degrees two-theta):
(0 0 6), 28.80 deg, I = 54; (0 2 0), 29.79 deg, I = 52; (2 1 -3), 30.23 deg, I = 100; (2 1 3), 30.80 deg, I = 94; (0 2 6), 41.91 deg, I = 50; (4 0 0), 45.44 deg, I = 22; (2 1 -9), 51.57 deg, I = 21; (2 3 3), 53.49 deg, I = 19

Structural model:
```
data_Ba6Gd2Al4O15
_chemical_formula_sum 'Ba12 Gd4 Al8 O30'
_space_group_name_H-M_alt 'P 1 2/c 1'
_space_group_IT_number 13
_cell_length_a 7.9870
_cell_length_b 5.9982
_cell_length_c 18.6077
_cell_angle_alpha 90.00
_cell_angle_beta 91.47
_cell_angle_gamma 90.00
loop_
_space_group_symop_operation_xyz
'x,y,z'
'-x,-y,-z'
'-x,y,-z+1/2'
'x,-y,z+1/2'
loop_
_atom_site_label
_atom_site_fract_x
_atom_site_fract_y
_atom_site_fract_z
Ba1 0.0000 0.1699 0.2500
Ba2 0.0016 0.2574 0.9176
Ba3 0.4691 0.2447 0.9099
Ba4 0.5000 0.2241 0.2500
Gd1 0.2522 0.2460 0.0900
Al1 0.2526 0.2515 0.4432
Al2 0.2798 0.2727 0.7333
O1 0.0417 0.2544 0.4068
O2 0.1937 0.1862 0.8141
O3 0.2302 0.4685 0.1914
O4 0.2519 0.0549 0.6675
O5 0.2621 0.4914 0.5020
O6 0.2639 0.0074 0.4991
O7 0.4425 0.2594 0.3929
O8 0.5000 0.2895 0.7500
```


[4]
Structure and simulated XRD peak list of CeAlCo4 (a GGA-PBE-relaxed structure; Cu Kα (λ = 1.5418 Å)).

Main lines, in order of rising 2θ (10 to 90 degrees two-theta):
(1 1 1), 30.30 deg, I = 43; (0 2 1), 30.48 deg, I = 30; (1 3 0), 36.60 deg, I = 45; (2 2 0), 42.15 deg, I = 24; (2 0 1), 42.65 deg, I = 100; (1 3 1), 43.04 deg, I = 86; (0 0 2), 44.58 deg, I = 43; (2 4 1), 61.92 deg, I = 22

Structural model:
```
data_CeAlCo4
_chemical_formula_sum 'Ce2 Al2 Co8'
_space_group_name_H-M_alt 'C m m m'
_space_group_IT_number 65
_space_group_name_Hall '-C 2 2'
_cell_length_a 4.9725
_cell_length_b 8.4697
_cell_length_c 4.0649
_cell_angle_alpha 90.00
_cell_angle_beta 90.00
_cell_angle_gamma 90.00
loop_
_atom_site_label
_atom_site_fract_x
_atom_site_fract_y
_atom_site_fract_z
Ce1 0.0000 0.0000 0.0000
Al1 0.0000 0.5000 0.5000
Co1 0.0000 0.3093 0.0000
Co2 0.2500 0.2500 0.5000
```